Theoretical X-ray powder pattern
Compound: Lu2S3
Radiation: Cu Ka
Structure: a DFT-relaxed cell (PBE, the Materials Project)

abc: 10.4484 3.7866 10.3787
angles: 90.00 90.00 90.00
Space group Pnma (No. 62)
Symmetry-distinct sites (fractional):
Lu 0.0061 0.2500 0.1880 (multiplicity 4)
Lu 0.1913 0.2500 0.5052 (multiplicity 4)
S 0.0452 0.7500 0.3732 (multiplicity 4)
S 0.1192 0.2500 0.9467 (multiplicity 4)
S 0.2293 0.7500 0.6949 (multiplicity 4)

Principal peaks in the range 5° ≤ 2θ ≤ 70°, in order of falling intensity:
24.17°, I = 100
30.43°, I = 72
27.00°, I = 54
36.21°, I = 51
27.15°, I = 49
26.47°, I = 45
25.03°, I = 42
33.96°, I = 33
51.24°, I = 31
48.06°, I = 31